No. 1
Starting from a structure optimized by DFT (GGA-PBE), the powder X-ray diffraction pattern of AlSiMo was calculated for Cu Kα (weighted mean of Kα1 and Kα2).
Intensities are scaled so that the largest is 100.

Cell and atoms:
Cell: 4.7525 4.7525 6.6166 Å, 90.00 90.00 120.00°
Fractional coordinates of all 9 atoms:
Al 0.9996 0.4998 0.0000
Al 0.5002 0.0004 0.3333
Al 0.5002 0.4998 0.6667
Si 0.3431 0.1715 0.0000
Si 0.8285 0.1715 0.6667
Si 0.8285 0.6569 0.3333
Mo 0.1612 0.3223 0.3333
Mo 0.1612 0.8388 0.6667
Mo 0.6777 0.8388 0.0000

Main lines, most intense first (5° ≤ 2θ ≤ 70°):
| two_theta | Rel. int. |
| --- | --- |
| 40.33 | 100 |
| 25.49 | 72 |
| 47.09 | 63 |
| 40.92 | 36 |
| 34.79 | 32 |
| 69.20 | 20 |
| 44.00 | 18 |
| 37.86 | 15 |
| 61.64 | 13 |
| 21.59 | 13 |
| 61.21 | 11 |
| 66.41 | 9 |

---

No. 2
Starting from a structure optimized by DFT (GGA-PBE), the powder X-ray diffraction pattern of Pm6TmCd5 was calculated for Cu Kα (weighted mean of Kα1 and Kα2).
Intensities are scaled so that the largest is 100.

Cell and atoms:
Cell: 9.4498 9.4498 9.4498 Å, 146.84 131.18 60.30°
Fractional coordinates of all 12 atoms:
Pm 0.0740 0.3295 0.7445
Pm 0.2343 0.0000 0.2343
Pm 0.4151 0.6705 0.7445
Pm 0.5849 0.3295 0.2555
Pm 0.7657 0.0000 0.7657
Pm 0.9260 0.6705 0.2555
Tm 0.5000 0.5000 0.0000
Cd 0.0000 0.5000 0.5000
Cd 0.1679 0.1679 0.0000
Cd 0.3454 0.8454 0.5000
Cd 0.6546 0.1546 0.5000
Cd 0.8321 0.8321 0.0000

Main lines, most intense first (5° ≤ 2θ ≤ 70°):
| two_theta | Rel. int. |
| --- | --- |
| 32.74 | 100 |
| 33.22 | 24 |
| 32.88 | 24 |
| 59.05 | 18 |
| 58.62 | 17 |
| 47.44 | 17 |
| 68.62 | 11 |
| 58.34 | 9 |
| 46.51 | 9 |
| 58.13 | 9 |
| 69.74 | 3 |
| 68.95 | 2 |